For Nb4GaFe, DFT lattice parameters and positions (GGA-PBE) gives the calculated X-ray powder pattern in this record (Cu Kα (λ = 1.5418 Å)).

Structural model:
Unit cell a=6.239 b=6.239 c=5.159 alpha=90.00 beta=90.00 gamma=90.00
Fractional coordinates of all 12 atoms:
Nb  0.145  0.329  0.000
Nb  0.145  0.671  0.500
Nb  0.329  0.145  0.500
Nb  0.329  0.855  0.000
Nb  0.671  0.145  0.000
Nb  0.671  0.855  0.500
Nb  0.855  0.329  0.500
Nb  0.855  0.671  0.000
Ga  0.500  0.500  0.250
Ga  0.500  0.500  0.750
Fe  0.000  0.000  0.250
Fe  0.000  0.000  0.750

The 10 most intense peaks (2θ = 5–70°), by angle:
d 2.580, intensity 107, hkl 0 0 2
d 2.454, intensity 1000, hkl 2 1 1
d 2.227, intensity 268, hkl 1 1 2
d 2.206, intensity 73, hkl 2 2 0
d 1.988, intensity 253, hkl 2 0 2
d 1.973, intensity 341, hkl 3 1 0
d 1.843, intensity 31, hkl 3 1 1
d 1.464, intensity 191, hkl 2 1 3
d 1.452, intensity 105, hkl 4 1 1
d 1.395, intensity 56, hkl 4 2 0